# 1
The following is a computed powder diffractogram of CuI2. It was derived from a structure optimized by DFT (GGA-PBE), using Cu Kα, 1.54184 Å.

Atomic structure:
Unit cell a=5.200 b=5.200 c=4.544 alpha=90.00 beta=90.00 gamma=90.00
Sites, in units of the cell vectors:
Cu1 0.000 0.000 0.000
I1 0.000 0.500 0.000
I2 0.500 0.000 0.000

Principal peaks in the range 10 to 90 degrees two-theta, by angle:
Position (°2θ)  d (Å)  I (rel.)
17.1  5.200  13
19.5  4.544  100
24.2  3.677  38
31.3  2.859  39
34.5  2.600  47
39.7  2.272  16
39.9  2.257  62
49.6  1.839  16
53.6  1.711  26
53.8  1.704  26
65.3  1.429  14
86.4  1.127  13

***

# 2
The following is a computed powder diffractogram of CuI. It was derived from a structure optimized by DFT (GGA-PBE), using Cu Kα, 1.54184 Å.

Atomic structure:
Unit cell a=4.048 b=4.048 c=4.048 alpha=60.00 beta=60.00 gamma=60.00
Sites, in units of the cell vectors:
Cu1 0.000 0.000 0.000
I1 0.500 0.500 0.500

Principal peaks in the range 10 to 90 degrees two-theta, by angle:
Position (°2θ)  d (Å)  I (rel.)
27.0  3.305  16
31.3  2.862  100
44.8  2.024  72
53.1  1.726  8
55.6  1.652  25
65.2  1.431  11
71.9  1.313  3
74.1  1.280  31
82.6  1.168  23
88.8  1.102  3

***

# 3
The following is a computed powder diffractogram of CuI. It was derived from a structure optimized by DFT (GGA-PBE), using Cu Kα, 1.54184 Å.

Atomic structure:
Unit cell a=4.268 b=4.268 c=4.268 alpha=60.00 beta=60.00 gamma=60.00
Sites, in units of the cell vectors:
Cu1 0.000 0.000 0.000
I1 0.750 0.750 0.750

Principal peaks in the range 10 to 90 degrees two-theta, by angle:
Position (°2θ)  d (Å)  I (rel.)
25.6  3.485  100
29.6  3.018  8
42.4  2.134  70
50.1  1.820  46
52.5  1.742  2
61.5  1.509  11
67.7  1.385  18
69.7  1.350  3
77.5  1.232  23
83.2  1.162  14

***

# 4
The following is a computed powder diffractogram of CuI. It was derived from a structure optimized by DFT (GGA-PBE), using Cu Kα, 1.54184 Å.

Atomic structure:
Unit cell a=4.259 b=4.259 c=7.007 alpha=90.00 beta=90.00 gamma=120.00
Sites, in units of the cell vectors:
Cu1 0.333 0.667 0.000
Cu2 0.667 0.333 0.500
I1 0.333 0.667 0.374
I2 0.667 0.333 0.874

Principal peaks in the range 10 to 90 degrees two-theta, by angle:
Position (°2θ)  d (Å)  I (rel.)
24.1  3.688  100
25.4  3.504  63
27.3  3.264  96
35.3  2.540  39
42.5  2.129  87
46.0  1.973  90
50.1  1.820  57
51.2  1.783  17
64.4  1.447  32
72.1  1.310  22
77.7  1.229  14
80.2  1.197  34

***

# 5
The following is a computed powder diffractogram of CuI. It was derived from a structure optimized by DFT (GGA-PBE), using Cu Kα, 1.54184 Å.

Atomic structure:
Unit cell a=4.286 b=8.578 c=7.425 alpha=90.00 beta=125.22 gamma=90.00
Sites, in units of the cell vectors:
Cu1 0.000 0.123 0.000
Cu2 0.000 0.877 0.500
Cu3 0.037 0.370 0.484
Cu4 0.037 0.630 0.984
I1 0.254 0.126 0.746
I2 0.254 0.874 0.246
I3 0.284 0.377 0.238
I4 0.284 0.623 0.738

Principal peaks in the range 10 to 90 degrees two-theta, by angle:
Position (°2θ)  d (Å)  I (rel.)
25.4  3.501  100
29.5  3.032  8
37.8  2.378  1
42.1  2.144  69
43.5  2.079  1
49.9  1.828  45
52.3  1.751  2
61.1  1.516  11
67.3  1.391  17
69.3  1.356  3
77.0  1.238  21
82.7  1.167  13

***

# 6
The following is a computed powder diffractogram of Cu13I15. It was derived from a structure optimized by DFT (GGA-PBE), using Cu Kα, 1.54184 Å.

Atomic structure:
Unit cell a=4.238 b=4.238 c=52.697 alpha=90.22 beta=90.22 gamma=60.24
Sites, in units of the cell vectors:
Cu1 0.000 0.000 0.000
Cu2 0.000 0.000 0.199
Cu3 0.001 0.001 0.399
Cu4 0.001 0.001 0.599
Cu5 0.002 0.002 0.801
Cu6 0.335 0.335 0.266
Cu7 0.335 0.335 0.466
Cu8 0.335 0.335 0.666
Cu9 0.643 0.643 0.929
Cu10 0.666 0.666 0.131
Cu11 0.668 0.668 0.333
Cu12 0.668 0.668 0.533
Cu13 0.668 0.668 0.733
I1 0.309 0.309 0.913
I2 0.330 0.330 0.115
I3 0.331 0.331 0.715
I4 0.332 0.332 0.316
I5 0.332 0.332 0.515
I6 0.660 0.660 0.980
I7 0.664 0.664 0.781
I8 0.665 0.665 0.182
I9 0.665 0.665 0.382
I10 0.665 0.665 0.582
I11 0.983 0.983 0.848
I12 0.984 0.984 0.047
I13 0.998 0.998 0.649
I14 0.999 0.999 0.249
I15 0.999 0.999 0.449

Principal peaks in the range 10 to 90 degrees two-theta, by angle:
Position (°2θ)  d (Å)  I (rel.)
25.4  3.513  47
25.6  3.476  100
25.8  3.458  52
29.6  3.014  23
42.1  2.144  46
42.3  2.135  22
42.5  2.127  22
42.7  2.119  44
49.9  1.827  17
50.2  1.818  30
50.4  1.811  28
77.6  1.231  14

***

# 7
The following is a computed powder diffractogram of CuI2. It was derived from a structure optimized by DFT (GGA-PBE), using Cu Kα, 1.54184 Å.

Atomic structure:
Unit cell a=3.776 b=3.776 c=9.035 alpha=90.00 beta=90.00 gamma=90.00
Sites, in units of the cell vectors:
Cu1 0.000 0.000 0.000
I1 0.000 0.000 0.264
I2 0.000 0.000 0.736

Principal peaks in the range 10 to 90 degrees two-theta, by angle:
Position (°2θ)  d (Å)  I (rel.)
19.7  4.518  24
23.6  3.776  100
30.9  2.897  31
33.6  2.670  40
39.2  2.299  16
39.9  2.259  11
46.9  1.938  28
48.2  1.888  14
53.1  1.724  19
54.3  1.689  20
64.3  1.449  10
69.5  1.352  17

***

# 8
The following is a computed powder diffractogram of Cu16I19. It was derived from a structure optimized by DFT (GGA-PBE), using Cu Kα, 1.54184 Å.

Atomic structure:
Unit cell a=4.233 b=4.233 c=67.075 alpha=91.71 beta=91.71 gamma=60.31
Sites, in units of the cell vectors:
Cu1 0.000 0.000 0.000
Cu2 0.029 0.029 0.159
Cu3 0.081 0.081 0.317
Cu4 0.134 0.134 0.475
Cu5 0.186 0.186 0.633
Cu6 0.238 0.238 0.793
Cu7 0.346 0.346 0.105
Cu8 0.397 0.397 0.265
Cu9 0.450 0.450 0.422
Cu10 0.502 0.502 0.580
Cu11 0.555 0.555 0.739
Cu12 0.611 0.611 0.897
Cu13 0.713 0.713 0.212
Cu14 0.765 0.765 0.370
Cu15 0.818 0.818 0.528
Cu16 0.871 0.871 0.686
I1 0.010 0.010 0.037
I2 0.045 0.045 0.199
I3 0.098 0.098 0.356
I4 0.151 0.151 0.514
I5 0.204 0.204 0.672
I6 0.271 0.271 0.829
I7 0.334 0.334 0.985
I8 0.361 0.361 0.146
I9 0.414 0.414 0.304
I10 0.467 0.467 0.462
I11 0.519 0.519 0.619
I12 0.573 0.573 0.777
I13 0.638 0.638 0.934
I14 0.680 0.680 0.093
I15 0.730 0.730 0.251
I16 0.782 0.782 0.409
I17 0.835 0.835 0.567
I18 0.888 0.888 0.724
I19 0.945 0.945 0.882

Principal peaks in the range 10 to 90 degrees two-theta, by angle:
Position (°2θ)  d (Å)  I (rel.)
25.2  3.528  48
25.6  3.474  100
25.8  3.457  53
29.6  3.017  24
42.1  2.149  46
42.2  2.143  22
42.5  2.126  23
42.7  2.116  44
49.7  1.834  26
50.1  1.821  14
50.2  1.816  16
50.4  1.811  17

***

# 9
The following is a computed powder diffractogram of CuI. It was derived from a structure optimized by DFT (GGA-PBE), using Cu Kα, 1.54184 Å.

Atomic structure:
Unit cell a=14.269 b=14.269 c=14.269 alpha=17.25 beta=17.25 gamma=17.25
Sites, in units of the cell vectors:
Cu1 0.000 0.000 0.000
Cu2 0.167 0.167 0.167
Cu3 0.417 0.417 0.417
Cu4 0.584 0.584 0.584
I1 0.105 0.105 0.105
I2 0.355 0.355 0.355
I3 0.521 0.521 0.521
I4 0.938 0.938 0.938

Principal peaks in the range 10 to 90 degrees two-theta, by angle:
Position (°2θ)  d (Å)  I (rel.)
24.1  3.692  22
24.4  3.650  71
25.4  3.513  71
26.3  3.393  95
28.3  3.156  25
38.5  2.337  20
42.2  2.140  100
43.9  2.061  61
47.8  1.904  35
49.9  1.827  67
62.6  1.485  22
78.4  1.220  22

***

# 10
The following is a computed powder diffractogram of CuI. It was derived from a structure optimized by DFT (GGA-PBE), using Cu Kα, 1.54184 Å.

Atomic structure:
Unit cell a=5.254 b=5.254 c=4.357 alpha=90.00 beta=90.00 gamma=89.35
Sites, in units of the cell vectors:
Cu1 0.082 0.918 0.750
Cu2 0.918 0.082 0.250
I1 0.274 0.726 0.250
I2 0.726 0.274 0.750

Principal peaks in the range 10 to 90 degrees two-theta, by angle:
Position (°2θ)  d (Å)  I (rel.)
16.9  5.253  20
23.8  3.736  100
24.1  3.694  18
26.6  3.354  64
31.8  2.818  24
34.1  2.627  14
40.1  2.250  25
41.4  2.179  23
43.6  2.075  17
43.9  2.061  67
48.4  1.882  29
56.7  1.625  31

***

# 11
The following is a computed powder diffractogram of CuI. It was derived from a structure optimized by DFT (GGA-PBE), using Cu Kα, 1.54184 Å.

Atomic structure:
Unit cell a=7.297 b=7.297 c=7.297 alpha=35.21 beta=35.21 gamma=35.21
Sites, in units of the cell vectors:
Cu1 0.123 0.123 0.123
Cu2 0.877 0.877 0.877
I1 0.000 0.000 0.000
I2 0.500 0.500 0.500

Principal peaks in the range 10 to 90 degrees two-theta, by angle:
Position (°2θ)  d (Å)  I (rel.)
12.9  6.838  21
23.7  3.759  17
24.9  3.583  100
26.1  3.419  26
40.9  2.207  62
42.4  2.130  55
48.4  1.879  16
49.1  1.854  27
50.5  1.808  16
60.4  1.533  19
65.2  1.431  13
75.5  1.259  19

***

# 12
The following is a computed powder diffractogram of CuI. It was derived from a structure optimized by DFT (GGA-PBE), using Cu Kα, 1.54184 Å.

Atomic structure:
Unit cell a=4.156 b=4.156 c=7.437 alpha=90.00 beta=90.00 gamma=120.00
Sites, in units of the cell vectors:
Cu1 0.333 0.667 0.406
Cu2 0.667 0.333 0.594
I1 0.333 0.667 0.756
I2 0.667 0.333 0.244

Principal peaks in the range 10 to 90 degrees two-theta, by angle:
Position (°2θ)  d (Å)  I (rel.)
11.9  7.437  44
23.9  3.718  31
24.7  3.599  84
27.5  3.239  85
34.7  2.586  47
43.6  2.078  72
44.4  2.041  100
50.3  1.814  24
52.3  1.749  14
63.9  1.456  32
70.4  1.338  12
80.6  1.192  33